Entry 1:
Simulated PXRD pattern
Compound: Tm4FeI
Radiation: a wavelength of 1.5418 Å
Structure: a crystal structure in OQMD, relaxed with GGA-PBE
No peak broadening, texture or thermal motion is included.

Main lines, in order of rising 2θ (10 to 90 degrees two-theta):
- 25.88°, I 49, (1 0 4)
- 28.52°, I 38, (0 1 5)
- 34.68°, I 19, (1 0 7)
- 35.73°, I 100, (1 1 0)
- 38.08°, I 31, (0 1 8)
- 51.55°, I 21, (1 1 9)

Structural model:
```
data_Tm4FeI
_cell_length_a 5.0259
_cell_length_b 5.0259
_cell_length_c 22.5101
_cell_angle_alpha 90.00
_cell_angle_beta 90.00
_cell_angle_gamma 120.00
_symmetry_space_group_name_H-M 'R -3 m'
_symmetry_Int_Tables_number 166
_symmetry_space_group_name_Hall '-R 3 2"'
loop_
_atom_site_label
_atom_site_type_symbol
_atom_site_fract_x
_atom_site_fract_y
_atom_site_fract_z
_atom_site_occupancy
Tm1 Tm 0.0000 0.0000 0.1091 1
Tm2 Tm 0.0000 0.0000 0.3498 1
Fe1 Fe 0.0000 0.0000 0.0000 1
I1 I 0.0000 0.0000 0.5000 1
```

---

Entry 2:
Simulated PXRD pattern
Compound: Pr2ErNi4Sn4
Radiation: a wavelength of 1.5418 Å
Structure: a crystal structure in OQMD, relaxed with GGA-PBE
No peak broadening, texture or thermal motion is included.

Main lines, in order of rising 2θ (10 to 90 degrees two-theta):
- 33.12°, I 29, (0 1 5)
- 33.25°, I 100, (1 2 1)
- 33.99°, I 92, (1 1 4)
- 39.77°, I 45, (2 0 0)
- 45.22°, I 28, (1 2 5)
- 68.48°, I 28, (2 4 0)

Structural model:
```
data_Pr2ErNi4Sn4
_cell_length_a 4.533
_cell_length_b 6.882
_cell_length_c 14.708
_cell_angle_alpha 90.00
_cell_angle_beta 90.00
_cell_angle_gamma 90.00
_symmetry_space_group_name_H-M 'I m m m'
_symmetry_Int_Tables_number 71
_symmetry_space_group_name_Hall '-I 2 2'
loop_
_atom_site_label
_atom_site_type_symbol
_atom_site_fract_x
_atom_site_fract_y
_atom_site_fract_z
_atom_site_occupancy
Pr1 Pr 0.000 0.000 0.133 1
Er1 Er 0.000 0.500 0.000 1
Ni1 Ni 0.000 0.185 0.328 1
Sn1 Sn 0.000 0.291 0.500 1
Sn2 Sn 0.000 0.500 0.214 1
```

---

Entry 3:
Simulated PXRD pattern
Compound: BaAgTeO
Radiation: a wavelength of 1.5418 Å
Structure: a crystal structure in OQMD, relaxed with GGA-PBE
No peak broadening, texture or thermal motion is included.

Main lines, in order of rising 2θ (10 to 90 degrees two-theta):
- 26.45°, I 13, (0 4 1)
- 28.43°, I 36, (0 0 2)
- 32.15°, I 100, (1 3 1)
- 33.65°, I 13, (0 6 0)
- 44.62°, I 15, (0 6 2)
- 52.74°, I 24, (1 3 3)

Structural model:
```
data_BaAgTeO
_cell_length_a 3.824
_cell_length_b 15.978
_cell_length_c 6.278
_cell_angle_alpha 90.00
_cell_angle_beta 90.00
_cell_angle_gamma 90.00
_symmetry_space_group_name_H-M 'C m c m'
_symmetry_Int_Tables_number 63
_symmetry_space_group_name_Hall '-C 2c 2'
loop_
_atom_site_label
_atom_site_type_symbol
_atom_site_fract_x
_atom_site_fract_y
_atom_site_fract_z
_atom_site_occupancy
Ba1 Ba 0.000 0.072 0.250 1
Ag1 Ag 0.000 0.391 0.250 1
Te1 Te 0.000 0.232 0.750 1
O1 O 0.000 0.500 0.000 1
```

---

Entry 4:
Simulated PXRD pattern
Compound: HfHgNOF
Radiation: a wavelength of 1.5418 Å
Structure: a crystal structure in OQMD, relaxed with GGA-PBE
No peak broadening, texture or thermal motion is included.

Main lines, in order of rising 2θ (10 to 90 degrees two-theta):
- 21.17°, I 37, (0 0 1)
- 29.84°, I 83, (0 1 1)
- 30.65°, I 100, (1 1 0)
- 30.91°, I 62, (1 0 1)
- 53.30°, I 29, (1 2 1)
- 55.31°, I 30, (2 1 1)

Structural model:
```
data_HfHgNOF
_cell_length_a 3.992
_cell_length_b 4.274
_cell_length_c 4.198
_cell_angle_alpha 90.00
_cell_angle_beta 90.00
_cell_angle_gamma 90.00
_symmetry_space_group_name_H-M 'P m m 2'
_symmetry_Int_Tables_number 25
loop_
_symmetry_equiv_pos_as_xyz
'x,y,z'
'-x,-y,z'
'-x,y,z'
'x,-y,z'
loop_
_atom_site_label
_atom_site_type_symbol
_atom_site_fract_x
_atom_site_fract_y
_atom_site_fract_z
_atom_site_occupancy
Hf1 Hf 0.000 0.000 0.000 1
Hg1 Hg 0.500 0.500 0.673 1
N1 N 0.000 0.500 0.873 1
O1 O 0.500 0.000 0.078 1
F1 F 0.000 0.000 0.489 1
```

---

Entry 5:
Simulated PXRD pattern
Compound: Rb4CuSi2S7
Radiation: a wavelength of 1.5418 Å
Structure: a crystal structure in OQMD, relaxed with GGA-PBE
No peak broadening, texture or thermal motion is included.

Main lines, in order of rising 2θ (10 to 90 degrees two-theta):
- 21.41°, I 86, (0 1 -2)
- 23.55°, I 58, (1 -2 1)
- 24.95°, I 100, (2 0 -1)
- 25.32°, I 72, (0 2 0)
- 27.35°, I 90, (1 2 -2)
- 30.11°, I 72, (2 -1 1)

Structural model:
```
data_Rb4CuSi2S7
_cell_length_a 7.264
_cell_length_b 8.364
_cell_length_c 8.589
_cell_angle_alpha 117.71
_cell_angle_beta 104.69
_cell_angle_gamma 98.57
_symmetry_space_group_name_H-M 'P -1'
_symmetry_Int_Tables_number 2
loop_
_symmetry_equiv_pos_as_xyz
'x,y,z'
'-x,-y,-z'
loop_
_atom_site_label
_atom_site_type_symbol
_atom_site_fract_x
_atom_site_fract_y
_atom_site_fract_z
_atom_site_occupancy
Rb1 Rb 0.015 0.281 0.069 1
Rb2 Rb 0.294 0.242 0.585 1
Cu1 Cu 0.500 0.000 0.000 1
Si1 Si 0.248 0.749 0.577 1
S1 S 0.000 0.500 0.500 1
S2 S 0.214 0.994 0.796 1
S3 S 0.226 0.751 0.332 1
S4 S 0.484 0.266 0.265 1
```

---

Entry 6:
Simulated PXRD pattern
Compound: DyYGa4Ni2
Radiation: a wavelength of 1.5418 Å
Structure: a crystal structure in OQMD, relaxed with GGA-PBE
No peak broadening, texture or thermal motion is included.

Main lines, in order of rising 2θ (10 to 90 degrees two-theta):
- 34.36°, I 23, (0 1 3)
- 35.73°, I 100, (2 1 1)
- 36.97°, I 83, (1 1 3)
- 38.01°, I 43, (1 0 4)
- 44.00°, I 61, (0 2 0)
- 44.44°, I 24, (3 0 2)

Structural model:
```
data_DyYGa4Ni2
_cell_length_a 6.681
_cell_length_b 4.117
_cell_length_c 10.126
_cell_angle_alpha 90.00
_cell_angle_beta 90.00
_cell_angle_gamma 90.00
_symmetry_space_group_name_H-M 'A m m 2'
_symmetry_Int_Tables_number 38
loop_
_symmetry_equiv_pos_as_xyz
'x,y,z'
'-x,-y,z'
'-x,y,z'
'x,-y,z'
'x,y+1/2,z+1/2'
'-x,-y+1/2,z+1/2'
'-x,y+1/2,z+1/2'
'x,-y+1/2,z+1/2'
loop_
_atom_site_label
_atom_site_type_symbol
_atom_site_fract_x
_atom_site_fract_y
_atom_site_fract_z
_atom_site_occupancy
Dy1 Dy 0.000 0.000 0.000 1
Y1 Y 0.500 0.000 0.141 1
Ga1 Ga 0.196 0.000 0.716 1
Ga2 Ga 0.304 0.000 0.425 1
Ni1 Ni 0.000 0.000 0.282 1
Ni2 Ni 0.500 0.000 0.859 1
```

---

Please write out number 2 again, unchanged.
Simulated PXRD pattern
Compound: Pr2ErNi4Sn4
Radiation: a wavelength of 1.5418 Å
Structure: a crystal structure in OQMD, relaxed with GGA-PBE
No peak broadening, texture or thermal motion is included.

Main lines, in order of rising 2θ (10 to 90 degrees two-theta):
- 33.12°, I 29, (0 1 5)
- 33.25°, I 100, (1 2 1)
- 33.99°, I 92, (1 1 4)
- 39.77°, I 45, (2 0 0)
- 45.22°, I 28, (1 2 5)
- 68.48°, I 28, (2 4 0)

Structural model:
```
data_Pr2ErNi4Sn4
_cell_length_a 4.533
_cell_length_b 6.882
_cell_length_c 14.708
_cell_angle_alpha 90.00
_cell_angle_beta 90.00
_cell_angle_gamma 90.00
_symmetry_space_group_name_H-M 'I m m m'
_symmetry_Int_Tables_number 71
_symmetry_space_group_name_Hall '-I 2 2'
loop_
_atom_site_label
_atom_site_type_symbol
_atom_site_fract_x
_atom_site_fract_y
_atom_site_fract_z
_atom_site_occupancy
Pr1 Pr 0.000 0.000 0.133 1
Er1 Er 0.000 0.500 0.000 1
Ni1 Ni 0.000 0.185 0.328 1
Sn1 Sn 0.000 0.291 0.500 1
Sn2 Sn 0.000 0.500 0.214 1
```

---

What did the third record say?
Simulated PXRD pattern
Compound: BaAgTeO
Radiation: a wavelength of 1.5418 Å
Structure: a crystal structure in OQMD, relaxed with GGA-PBE
No peak broadening, texture or thermal motion is included.

Main lines, in order of rising 2θ (10 to 90 degrees two-theta):
- 26.45°, I 13, (0 4 1)
- 28.43°, I 36, (0 0 2)
- 32.15°, I 100, (1 3 1)
- 33.65°, I 13, (0 6 0)
- 44.62°, I 15, (0 6 2)
- 52.74°, I 24, (1 3 3)

Structural model:
```
data_BaAgTeO
_cell_length_a 3.824
_cell_length_b 15.978
_cell_length_c 6.278
_cell_angle_alpha 90.00
_cell_angle_beta 90.00
_cell_angle_gamma 90.00
_symmetry_space_group_name_H-M 'C m c m'
_symmetry_Int_Tables_number 63
_symmetry_space_group_name_Hall '-C 2c 2'
loop_
_atom_site_label
_atom_site_type_symbol
_atom_site_fract_x
_atom_site_fract_y
_atom_site_fract_z
_atom_site_occupancy
Ba1 Ba 0.000 0.072 0.250 1
Ag1 Ag 0.000 0.391 0.250 1
Te1 Te 0.000 0.232 0.750 1
O1 O 0.000 0.500 0.000 1
```